Record 1
Theoretical powder diffraction line list
Compound: NaLiRhO2
Radiation: λ = 1.5418 Å (Cu Kα)
Structure: a PBE-relaxed structure
Intensities are scaled so that the largest is 100.

Structural model:
```
data_NaLiRhO2
_chemical_formula_sum 'Na1 Li1 Rh1 O2'
_space_group_name_H-M_alt 'P m m m'
_space_group_IT_number 47
_cell_length_a 3.336
_cell_length_b 3.438
_cell_length_c 5.745
_cell_angle_alpha 90.00
_cell_angle_beta 90.00
_cell_angle_gamma 90.00
loop_
_space_group_symop_operation_xyz
'x,y,z'
'-x,-y,-z'
'-x,-y,z'
'x,y,-z'
'x,-y,-z'
'-x,y,z'
'-x,y,-z'
'x,-y,z'
loop_
_atom_site_label
_atom_site_type_symbol
_atom_site_fract_x
_atom_site_fract_y
_atom_site_fract_z
Na1 Na 0.000 0.000 0.000
Li1 Li 0.000 0.000 0.500
Rh1 Rh 0.500 0.500 0.500
O1 O 0.000 0.500 0.286
```

The 12 most intense peaks (5° ≤ 2θ ≤ 70°), in order of rising 2θ:
| Position (°2θ) | Rel. int. | h k l |
| --- | --- | --- |
| 15.4 | 100 | 0 0 1 |
| 25.9 | 40 | 0 1 0 |
| 30.3 | 75 | 0 1 1 |
| 31.0 | 55 | 1 0 1 |
| 31.1 | 22 | 0 0 2 |
| 37.6 | 25 | 1 1 0 |
| 40.8 | 23 | 1 1 1 |
| 41.5 | 20 | 1 0 2 |
| 49.6 | 55 | 1 1 2 |
| 55.3 | 15 | 1 0 3 |
| 63.0 | 20 | 1 2 1 |
| 64.1 | 16 | 2 1 1 |



Record 2
Theoretical powder diffraction line list
Compound: La5PrY2Sc
Radiation: λ = 1.5418 Å (Cu Kα)
Structure: a PBE-relaxed structure
Intensities are scaled so that the largest is 100.

Structural model:
```
data_La5PrY2Sc
_chemical_formula_sum 'La10 Pr2 Y4 Sc2'
_space_group_name_H-M_alt 'P 4/m b m'
_space_group_IT_number 127
_space_group_name_Hall '-P 4 2ab'
_cell_length_a 9.221
_cell_length_b 9.221
_cell_length_c 7.489
_cell_angle_alpha 90.00
_cell_angle_beta 90.00
_cell_angle_gamma 90.00
loop_
_atom_site_label
_atom_site_type_symbol
_atom_site_fract_x
_atom_site_fract_y
_atom_site_fract_z
La1 La 0.000 0.000 0.000
La2 La 0.206 0.294 0.282
Pr1 Pr 0.000 0.000 0.500
Y1 Y 0.113 0.613 0.000
Sc1 Sc 0.000 0.500 0.500
```

The 12 most intense peaks (5° ≤ 2θ ≤ 70°), in order of rising 2θ:
| Position (°2θ) | Rel. int. | h k l |
| --- | --- | --- |
| 21.5 | 10 | 2 1 0 |
| 24.6 | 18 | 2 1 1 |
| 27.4 | 58 | 2 2 0 |
| 30.7 | 29 | 3 1 0 |
| 30.8 | 100 | 2 0 2 |
| 32.3 | 40 | 2 1 2 |
| 35.1 | 14 | 3 2 0 |
| 39.1 | 14 | 4 0 0 |
| 40.3 | 20 | 4 1 0 |
| 47.3 | 16 | 4 1 2 |
| 50.5 | 21 | 4 2 2 |
| 56.5 | 20 | 4 4 0 |